# 1
Diffraction record for RbMg6AlO8. The powder X-ray diffraction pattern is calculated, not measured: it uses the PBE geometry in the Materials Project and CuKα.

Largest 10 diffraction maxima, sorted by position, 10 to 90 degrees two-theta:
d/Å, 2θ/deg, I (rel.)
8.679, 10.2, 30.5
4.540, 19.6, 13.5
2.581, 34.8, 35.8
2.440, 36.8, 14.1
2.270, 39.7, 100.0
2.170, 41.6, 39.5
1.605, 57.4, 29.8
1.568, 58.9, 50.5
1.363, 68.9, 13.6
1.290, 73.4, 24.2

Cell and atoms:
```
RbMg6AlO8
1.0
4.5398 0.0000 0.0000
0.0000 4.5398 0.0000
0.0000 0.0000 8.6793
Rb Mg Al O
1 6 1 8
direct
0.0000 0.0000 0.0000 Rb
0.0000 0.0000 0.5000 Mg
0.0000 0.5000 0.2509 Mg
0.0000 0.5000 0.7491 Mg
0.5000 0.0000 0.2509 Mg
0.5000 0.0000 0.7491 Mg
0.5000 0.5000 0.5000 Mg
0.5000 0.5000 0.0000 Al
0.0000 0.0000 0.2816 O
0.0000 0.0000 0.7184 O
0.0000 0.5000 0.0000 O
0.0000 0.5000 0.5000 O
0.5000 0.0000 0.0000 O
0.5000 0.0000 0.5000 O
0.5000 0.5000 0.2218 O
0.5000 0.5000 0.7782 O
```

***

# 2
Diffraction record for TbBiRh. The powder X-ray diffraction pattern is calculated, not measured: it uses the PBE geometry in the Materials Project and CuKα.

Largest 10 diffraction maxima, sorted by position, 10 to 90 degrees two-theta:
d/Å, 2θ/deg, I (rel.)
2.775, 32.3, 100.0
2.562, 35.0, 60.4
2.523, 35.6, 47.8
2.225, 40.5, 33.6
2.134, 42.4, 22.9
1.999, 45.4, 21.4
1.680, 54.6, 9.8
1.567, 58.9, 22.8
1.487, 62.4, 18.9
1.430, 65.2, 29.9

Cell and atoms:
```
TbBiRh
1.0
7.7089 0.0000 0.0000
-3.8545 6.6761 0.0000
0.0000 0.0000 3.9985
Tb Bi Rh
3 3 3
direct
0.0000 0.5977 0.0000 Tb
0.4023 0.4023 0.0000 Tb
0.5977 0.0000 0.0000 Tb
0.0000 0.2638 0.5000 Bi
0.2638 0.0000 0.5000 Bi
0.7362 0.7362 0.5000 Bi
0.0000 0.0000 0.0000 Rh
0.3333 0.6667 0.5000 Rh
0.6667 0.3333 0.5000 Rh
```

***

# 3
Diffraction record for Nd2Th2O7. The powder X-ray diffraction pattern is calculated, not measured: it uses the PBE geometry in the Materials Project and CuKα.

Largest 10 diffraction maxima, sorted by position, 10 to 90 degrees two-theta:
d/Å, 2θ/deg, I (rel.)
3.266, 27.3, 100.0
3.215, 27.7, 96.3
2.825, 31.7, 23.0
2.797, 32.0, 47.8
2.001, 45.3, 16.6
1.987, 45.6, 63.9
1.955, 46.5, 15.9
1.704, 53.8, 14.5
1.698, 54.0, 45.3
1.677, 54.7, 29.9

Cell and atoms:
```
Nd2Th2O7
1.0
8.0038 0.0000 0.0000
0.0000 3.9097 0.0000
0.0000 0.0000 11.2992
Nd Th O
4 4 14
direct
0.0000 0.0000 0.0000 Nd
0.2500 0.5000 0.2689 Nd
0.5000 0.0000 0.0000 Nd
0.7500 0.5000 0.7311 Nd
0.0000 0.0000 0.5000 Th
0.2500 0.5000 0.7521 Th
0.5000 0.0000 0.5000 Th
0.7500 0.5000 0.2479 Th
0.0127 0.5000 0.6213 O
0.0346 0.5000 0.1274 O
0.2500 0.0000 0.3751 O
0.2500 0.0000 0.6310 O
0.2500 0.0000 0.8860 O
0.4654 0.5000 0.1274 O
0.4873 0.5000 0.6213 O
0.5127 0.5000 0.3787 O
0.5346 0.5000 0.8726 O
0.7500 0.0000 0.1140 O
0.7500 0.0000 0.3690 O
0.7500 0.0000 0.6249 O
0.9654 0.5000 0.8726 O
0.9873 0.5000 0.3787 O
```

***

# 4
Diffraction record for Ni21Ge2B6. The powder X-ray diffraction pattern is calculated, not measured: it uses the PBE geometry in the Materials Project and CuKα.

Largest 10 diffraction maxima, sorted by position, 10 to 90 degrees two-theta:
d/Å, 2θ/deg, I (rel.)
2.339, 38.5, 26.6
2.135, 42.3, 33.0
2.013, 45.0, 100.0
1.849, 49.3, 22.4
1.768, 51.7, 26.2
1.744, 52.5, 11.8
1.577, 58.5, 8.1
1.269, 74.8, 7.4
1.233, 77.4, 22.5
1.208, 79.3, 13.0

Cell and atoms:
```
Ni21Ge2B6
1.0
0.0000 5.2307 5.2307
5.2307 0.0000 5.2307
5.2307 5.2307 0.0000
Ni Ge B
21 2 6
direct
0.0000 0.0000 0.0000 Ni
0.0000 0.0000 0.3364 Ni
0.0000 0.0000 0.6636 Ni
0.0000 0.3364 0.0000 Ni
0.0000 0.3364 0.6636 Ni
0.0000 0.6636 0.0000 Ni
0.0000 0.6636 0.3364 Ni
0.1439 0.6187 0.6187 Ni
0.3364 0.0000 0.0000 Ni
0.3364 0.0000 0.6636 Ni
0.3364 0.6636 0.0000 Ni
0.3813 0.3813 0.3813 Ni
0.3813 0.3813 0.8561 Ni
0.3813 0.8561 0.3813 Ni
0.6187 0.1439 0.6187 Ni
0.6187 0.6187 0.1439 Ni
0.6187 0.6187 0.6187 Ni
0.6636 0.0000 0.0000 Ni
0.6636 0.0000 0.3364 Ni
0.6636 0.3364 0.0000 Ni
0.8561 0.3813 0.3813 Ni
0.2500 0.2500 0.2500 Ge
0.7500 0.7500 0.7500 Ge
0.2732 0.2732 0.7268 B
0.2732 0.7268 0.2732 B
0.2732 0.7268 0.7268 B
0.7268 0.2732 0.2732 B
0.7268 0.2732 0.7268 B
0.7268 0.7268 0.2732 B
```

***

# 5
Diffraction record for AgPtF6. The powder X-ray diffraction pattern is calculated, not measured: it uses the PBE geometry in the Materials Project and CuKα.

Largest 10 diffraction maxima, sorted by position, 10 to 90 degrees two-theta:
d/Å, 2θ/deg, I (rel.)
4.369, 20.3, 15.8
3.924, 22.7, 100.0
3.876, 22.9, 49.1
2.926, 30.6, 21.9
2.907, 30.8, 42.5
2.629, 34.1, 22.0
2.186, 41.3, 17.6
1.962, 46.3, 14.5
1.830, 49.8, 16.0
1.826, 50.0, 14.6

Cell and atoms:
```
AgPtF6
1.0
5.2528 0.0000 0.0000
2.6016 4.5776 0.0000
2.5050 1.4775 10.0941
Ag Pt F
2 2 12
direct
0.0000 0.0000 0.0000 Ag
0.5000 0.5000 0.5000 Ag
0.2301 0.2780 0.2500 Pt
0.7699 0.7220 0.7500 Pt
0.0359 0.3832 0.8637 F
0.1073 0.7659 0.6369 F
0.1956 0.5406 0.3649 F
0.2702 0.0116 0.1364 F
0.4317 0.6895 0.8632 F
0.4890 0.9403 0.3633 F
0.5110 0.0597 0.6367 F
0.5683 0.3105 0.1368 F
0.7298 0.9884 0.8636 F
0.8044 0.4594 0.6351 F
0.8927 0.2341 0.3631 F
0.9641 0.6168 0.1363 F
```

***

# 6
Diffraction record for BaZnSe2O6. The powder X-ray diffraction pattern is calculated, not measured: it uses the PBE geometry in the Materials Project and CuKα.

Largest 10 diffraction maxima, sorted by position, 10 to 90 degrees two-theta:
d/Å, 2θ/deg, I (rel.)
6.592, 13.4, 39.6
5.239, 16.9, 100.0
4.954, 17.9, 38.0
4.826, 18.4, 38.7
4.395, 20.2, 39.2
4.152, 21.4, 43.7
3.296, 27.1, 36.6
3.284, 27.2, 56.5
2.860, 31.3, 62.9
2.580, 34.8, 33.2

Cell and atoms:
```
BaZnSe2O6
1.0
5.7573 0.0000 0.0000
0.0000 26.3684 0.0000
-2.6117 0.0000 6.5258
Ba Zn Se O
4 4 8 24
direct
0.0944 0.1400 0.4427 Ba
0.0944 0.3600 0.9427 Ba
0.9056 0.6400 0.0573 Ba
0.9056 0.8600 0.5573 Ba
0.2888 0.5240 0.5326 Zn
0.2888 0.9760 0.0326 Zn
0.7112 0.0240 0.9674 Zn
0.7112 0.4760 0.4674 Zn
0.2853 0.6214 0.7586 Se
0.2853 0.8786 0.2586 Se
0.3528 0.5311 0.1495 Se
0.3528 0.9689 0.6495 Se
0.6472 0.0311 0.3505 Se
0.6472 0.4689 0.8505 Se
0.7147 0.1214 0.7414 Se
0.7147 0.3786 0.2414 Se
0.0338 0.6573 0.7417 O
0.0338 0.8427 0.2417 O
0.2333 0.5696 0.3004 O
0.2333 0.9304 0.8004 O
0.3178 0.0300 0.2370 O
0.3178 0.4700 0.7370 O
0.3259 0.0246 0.7878 O
0.3259 0.4754 0.2878 O
0.4181 0.6104 0.0276 O
0.4181 0.8896 0.5276 O
0.4924 0.1601 0.7652 O
0.4924 0.3399 0.2652 O
0.5076 0.6601 0.7348 O
0.5076 0.8399 0.2348 O
0.5819 0.1104 0.4724 O
0.5819 0.3896 0.9724 O
0.6741 0.5246 0.7122 O
0.6741 0.9754 0.2122 O
0.6822 0.5300 0.2630 O
0.6822 0.9700 0.7630 O
0.7667 0.0696 0.1996 O
0.7667 0.4304 0.6996 O
0.9662 0.1573 0.7583 O
0.9662 0.3427 0.2583 O
```